Record 1
Computed XRD peak list
Compound: Sm4Cd3Au
Radiation: Cu Kα X-rays
Structure: a DFT-relaxed cell (GGA-PBE, Alexandria)

Peak list (8 most intense, 2θ = 10–90°, low angle first)
- 2θ 33.6, intensity 100
- 2θ 48.0, intensity 6
- 2θ 48.3, intensity 12
- 2θ 59.9, intensity 12
- 2θ 60.0, intensity 24
- 2θ 70.5, intensity 7
- 2θ 80.1, intensity 5
- 2θ 80.5, intensity 11

Cell and atoms:
```
data_Sm4Cd3Au
_chemical_formula_sum 'Sm4 Cd3 Au1'
_space_group_name_H-M_alt 'P 1'
_space_group_IT_number 1
_cell_length_a 3.7710
_cell_length_b 3.7710
_cell_length_c 15.1543
_cell_angle_alpha 90.00
_cell_angle_beta 90.00
_cell_angle_gamma 90.00
loop_
_space_group_symop_operation_xyz
'x,y,z'
loop_
_atom_site_label
_atom_site_type_symbol
_atom_site_fract_x
_atom_site_fract_y
_atom_site_fract_z
_atom_site_occupancy
Sm1 Sm 0.0000 0.0000 0.1154 1
Sm2 Sm 0.0000 0.0000 0.3720 1
Sm3 Sm 0.0000 0.0000 0.6280 1
Sm4 Sm 0.0000 0.0000 0.8846 1
Cd1 Cd 0.5000 0.5000 0.2475 1
Cd2 Cd 0.5000 0.5000 0.5000 1
Cd3 Cd 0.5000 0.5000 0.7525 1
Au1 Au 0.5000 0.5000 0.0000 1
```


Record 2
Computed XRD peak list
Compound: Sm3Cd7Au4
Radiation: Cu Kα X-rays
Structure: a DFT-relaxed cell (GGA-PBE, Alexandria)

Peak list (8 most intense, 2θ = 10–90°, low angle first)
- 2θ 31.8, intensity 43
- 2θ 32.0, intensity 29
- 2θ 33.6, intensity 100
- 2θ 35.6, intensity 19
- 2θ 39.1, intensity 37
- 2θ 39.7, intensity 18
- 2θ 40.3, intensity 23
- 2θ 40.8, intensity 55

Cell and atoms:
```
data_Sm3Cd7Au4
_chemical_formula_sum 'Sm3 Cd7 Au4'
_space_group_name_H-M_alt 'P 1'
_space_group_IT_number 1
_cell_length_a 8.6324
_cell_length_b 8.6324
_cell_length_c 10.8508
_cell_angle_alpha 123.90
_cell_angle_beta 123.90
_cell_angle_gamma 29.71
loop_
_space_group_symop_operation_xyz
'x,y,z'
loop_
_atom_site_label
_atom_site_type_symbol
_atom_site_fract_x
_atom_site_fract_y
_atom_site_fract_z
_atom_site_occupancy
Sm1 Sm 0.0000 0.0000 0.0000 1
Sm2 Sm 0.3008 0.3008 0.2874 1
Sm3 Sm 0.6992 0.6992 0.7126 1
Cd1 Cd 0.0000 0.0000 0.5000 1
Cd2 Cd 0.1656 0.1656 0.4369 1
Cd3 Cd 0.3303 0.3303 0.9913 1
Cd4 Cd 0.4839 0.4839 0.6793 1
Cd5 Cd 0.5161 0.5161 0.3207 1
Cd6 Cd 0.6697 0.6697 0.0087 1
Cd7 Cd 0.8344 0.8344 0.5631 1
Au1 Au 0.1180 0.1180 0.8214 1
Au2 Au 0.3471 0.3471 0.7529 1
Au3 Au 0.6529 0.6529 0.2471 1
Au4 Au 0.8820 0.8820 0.1786 1
```


Record 3
Computed XRD peak list
Compound: SmCd6Au6
Radiation: Cu Kα X-rays
Structure: a DFT-relaxed cell (GGA-PBE, Alexandria)

Peak list (8 most intense, 2θ = 10–90°, low angle first)
- 2θ 30.8, intensity 93
- 2θ 35.7, intensity 36
- 2θ 36.3, intensity 84
- 2θ 38.0, intensity 34
- 2θ 40.6, intensity 100
- 2θ 42.2, intensity 39
- 2θ 64.1, intensity 38
- 2θ 67.5, intensity 38

Cell and atoms:
```
data_SmCd6Au6
_chemical_formula_sum 'Sm1 Cd6 Au6'
_space_group_name_H-M_alt 'P 1'
_space_group_IT_number 1
_cell_length_a 5.8115
_cell_length_b 5.8115
_cell_length_c 9.4712
_cell_angle_alpha 90.00
_cell_angle_beta 90.00
_cell_angle_gamma 120.00
loop_
_space_group_symop_operation_xyz
'x,y,z'
loop_
_atom_site_label
_atom_site_type_symbol
_atom_site_fract_x
_atom_site_fract_y
_atom_site_fract_z
_atom_site_occupancy
Sm1 Sm 0.0000 0.0000 0.0000 1
Cd1 Cd 0.0000 0.5000 0.2527 1
Cd2 Cd 0.0000 0.5000 0.7473 1
Cd3 Cd 0.5000 0.0000 0.2527 1
Cd4 Cd 0.5000 0.0000 0.7473 1
Cd5 Cd 0.5000 0.5000 0.2527 1
Cd6 Cd 0.5000 0.5000 0.7473 1
Au1 Au 0.0000 0.0000 0.3218 1
Au2 Au 0.0000 0.0000 0.6782 1
Au3 Au 0.3333 0.6667 0.0000 1
Au4 Au 0.3333 0.6667 0.5000 1
Au5 Au 0.6667 0.3333 0.0000 1
Au6 Au 0.6667 0.3333 0.5000 1
```


Record 4
Computed XRD peak list
Compound: SmCdAu6
Radiation: Cu Kα X-rays
Structure: a DFT-relaxed cell (GGA-PBE, Alexandria)

Peak list (8 most intense, 2θ = 10–90°, low angle first)
- 2θ 32.8, intensity 24
- 2θ 36.8, intensity 100
- 2θ 40.5, intensity 53
- 2θ 58.6, intensity 12
- 2θ 61.2, intensity 23
- 2θ 63.8, intensity 28
- 2θ 68.8, intensity 14
- 2θ 80.7, intensity 22

Cell and atoms:
```
data_SmCdAu6
_chemical_formula_sum 'Sm1 Cd1 Au6'
_space_group_name_H-M_alt 'P 1'
_space_group_IT_number 1
_cell_length_a 5.4576
_cell_length_b 5.4576
_cell_length_c 5.4576
_cell_angle_alpha 90.00
_cell_angle_beta 90.00
_cell_angle_gamma 90.00
loop_
_space_group_symop_operation_xyz
'x,y,z'
loop_
_atom_site_label
_atom_site_type_symbol
_atom_site_fract_x
_atom_site_fract_y
_atom_site_fract_z
_atom_site_occupancy
Sm1 Sm 0.0000 0.0000 0.0000 1
Cd1 Cd 0.5000 0.5000 0.5000 1
Au1 Au 0.0000 0.2520 0.5000 1
Au2 Au 0.0000 0.7480 0.5000 1
Au3 Au 0.2520 0.5000 0.0000 1
Au4 Au 0.5000 0.0000 0.2520 1
Au5 Au 0.5000 0.0000 0.7480 1
Au6 Au 0.7480 0.5000 0.0000 1
```


Record 5
Computed XRD peak list
Compound: SmTm2CdAu4
Radiation: Cu Kα X-rays
Structure: a DFT-relaxed cell (GGA-PBE, Alexandria)

Peak list (8 most intense, 2θ = 10–90°, low angle first)
- 2θ 35.6, intensity 98
- 2θ 36.0, intensity 100
- 2θ 51.5, intensity 35
- 2θ 63.7, intensity 16
- 2θ 64.4, intensity 35
- 2θ 64.6, intensity 18
- 2θ 86.5, intensity 14
- 2θ 87.1, intensity 16

Cell and atoms:
```
data_SmTm2CdAu4
_chemical_formula_sum 'Sm1 Tm2 Cd1 Au4'
_space_group_name_H-M_alt 'P 1'
_space_group_IT_number 1
_cell_length_a 8.7597
_cell_length_b 8.7597
_cell_length_c 8.7597
_cell_angle_alpha 33.13
_cell_angle_beta 33.13
_cell_angle_gamma 33.13
loop_
_space_group_symop_operation_xyz
'x,y,z'
loop_
_atom_site_label
_atom_site_type_symbol
_atom_site_fract_x
_atom_site_fract_y
_atom_site_fract_z
_atom_site_occupancy
Sm1 Sm 0.0000 0.0000 0.0000 1
Tm1 Tm 0.2424 0.2424 0.2424 1
Tm2 Tm 0.7576 0.7576 0.7576 1
Cd1 Cd 0.5000 0.5000 0.5000 1
Au1 Au 0.1214 0.1214 0.1214 1
Au2 Au 0.3738 0.3738 0.3738 1
Au3 Au 0.6262 0.6262 0.6262 1
Au4 Au 0.8786 0.8786 0.8786 1
```


Record 6
Computed XRD peak list
Compound: SmZnCdAu2
Radiation: Cu Kα X-rays
Structure: a DFT-relaxed cell (GGA-PBE, Alexandria)

Peak list (8 most intense, 2θ = 10–90°, low angle first)
- 2θ 23.2, intensity 37
- 2θ 29.4, intensity 50
- 2θ 31.8, intensity 37
- 2θ 34.2, intensity 53
- 2θ 39.3, intensity 100
- 2θ 45.5, intensity 38
- 2θ 61.5, intensity 27
- 2θ 61.7, intensity 27

Cell and atoms:
```
data_SmZnCdAu2
_chemical_formula_sum 'Sm2 Zn2 Cd2 Au4'
_space_group_name_H-M_alt 'P 1'
_space_group_IT_number 1
_cell_length_a 7.5521
_cell_length_b 7.5521
_cell_length_c 5.6534
_cell_angle_alpha 90.00
_cell_angle_beta 90.00
_cell_angle_gamma 136.27
loop_
_space_group_symop_operation_xyz
'x,y,z'
loop_
_atom_site_label
_atom_site_type_symbol
_atom_site_fract_x
_atom_site_fract_y
_atom_site_fract_z
_atom_site_occupancy
Sm1 Sm 0.2500 0.7500 0.7503 1
Sm2 Sm 0.7500 0.2500 0.2497 1
Zn1 Zn 0.0000 0.0000 0.0000 1
Zn2 Zn 0.5000 0.5000 0.0000 1
Cd1 Cd 0.2500 0.2500 0.5000 1
Cd2 Cd 0.7500 0.7500 0.5000 1
Au1 Au 0.1513 0.8487 0.2482 1
Au2 Au 0.3487 0.6513 0.2482 1
Au3 Au 0.6513 0.3487 0.7518 1
Au4 Au 0.8487 0.1513 0.7518 1
```


Record 7
Computed XRD peak list
Compound: Cd6SnAu3
Radiation: Cu Kα X-rays
Structure: a DFT-relaxed cell (GGA-PBE, Alexandria)

Peak list (8 most intense, 2θ = 10–90°, low angle first)
- 2θ 23.4, intensity 37
- 2θ 23.7, intensity 32
- 2θ 31.7, intensity 66
- 2θ 37.3, intensity 31
- 2θ 38.5, intensity 100
- 2θ 38.6, intensity 60
- 2θ 39.3, intensity 77
- 2θ 39.7, intensity 61

Cell and atoms:
```
data_Cd6SnAu3
_chemical_formula_sum 'Cd12 Sn2 Au6'
_space_group_name_H-M_alt 'P 1'
_space_group_IT_number 1
_cell_length_a 8.5352
_cell_length_b 4.6775
_cell_length_c 11.2894
_cell_angle_alpha 90.00
_cell_angle_beta 95.13
_cell_angle_gamma 90.00
loop_
_space_group_symop_operation_xyz
'x,y,z'
loop_
_atom_site_label
_atom_site_type_symbol
_atom_site_fract_x
_atom_site_fract_y
_atom_site_fract_z
_atom_site_occupancy
Cd1 Cd 0.0254 0.2500 0.4126 1
Cd2 Cd 0.0952 0.2500 0.9602 1
Cd3 Cd 0.1274 0.7500 0.2657 1
Cd4 Cd 0.2159 0.7500 0.7969 1
Cd5 Cd 0.3336 0.7500 0.5258 1
Cd6 Cd 0.4440 0.2500 0.0791 1
Cd7 Cd 0.5560 0.7500 0.9209 1
Cd8 Cd 0.6664 0.2500 0.4742 1
Cd9 Cd 0.7841 0.2500 0.2031 1
Cd10 Cd 0.8726 0.2500 0.7343 1
Cd11 Cd 0.9048 0.7500 0.0398 1
Cd12 Cd 0.9746 0.7500 0.5874 1
Sn1 Sn 0.4946 0.7500 0.2684 1
Sn2 Sn 0.5054 0.2500 0.7316 1
Au1 Au 0.1817 0.2500 0.6473 1
Au2 Au 0.2593 0.7500 0.0447 1
Au3 Au 0.3481 0.2500 0.3617 1
Au4 Au 0.6519 0.7500 0.6383 1
Au5 Au 0.7407 0.2500 0.9553 1
Au6 Au 0.8183 0.7500 0.3527 1
```


Record 8
Computed XRD peak list
Compound: CdSnAu6
Radiation: Cu Kα X-rays
Structure: a DFT-relaxed cell (GGA-PBE, Alexandria)

Peak list (8 most intense, 2θ = 10–90°, low angle first)
- 2θ 34.0, intensity 24
- 2θ 37.9, intensity 24
- 2θ 39.0, intensity 100
- 2θ 51.8, intensity 15
- 2θ 60.8, intensity 18
- 2θ 69.3, intensity 19
- 2θ 73.9, intensity 21
- 2θ 74.6, intensity 15

Cell and atoms:
```
data_CdSnAu6
_chemical_formula_sum 'Cd1 Sn1 Au6'
_space_group_name_H-M_alt 'P 1'
_space_group_IT_number 1
_cell_length_a 6.0978
_cell_length_b 6.0978
_cell_length_c 4.7438
_cell_angle_alpha 90.00
_cell_angle_beta 90.00
_cell_angle_gamma 120.00
loop_
_space_group_symop_operation_xyz
'x,y,z'
loop_
_atom_site_label
_atom_site_type_symbol
_atom_site_fract_x
_atom_site_fract_y
_atom_site_fract_z
_atom_site_occupancy
Cd1 Cd 0.0000 0.0000 0.0000 1
Sn1 Sn 0.6667 0.3333 0.5000 1
Au1 Au 0.0068 0.5034 0.0000 1
Au2 Au 0.1660 0.3319 0.5000 1
Au3 Au 0.1660 0.8340 0.5000 1
Au4 Au 0.4966 0.5034 0.0000 1
Au5 Au 0.4966 0.9932 0.0000 1
Au6 Au 0.6681 0.8340 0.5000 1
```


Record 9
Computed XRD peak list
Compound: CdSn2Au
Radiation: Cu Kα X-rays
Structure: a DFT-relaxed cell (GGA-PBE, Alexandria)

Peak list (8 most intense, 2θ = 10–90°, low angle first)
- 2θ 17.4, intensity 33
- 2θ 31.0, intensity 100
- 2θ 31.3, intensity 33
- 2θ 32.9, intensity 66
- 2θ 37.2, intensity 48
- 2θ 37.3, intensity 52
- 2θ 40.7, intensity 83
- 2θ 42.0, intensity 37

Cell and atoms:
```
data_CdSn2Au
_chemical_formula_sum 'Cd2 Sn4 Au2'
_space_group_name_H-M_alt 'P 1'
_space_group_IT_number 1
_cell_length_a 4.3397
_cell_length_b 8.8675
_cell_length_c 5.3213
_cell_angle_alpha 90.00
_cell_angle_beta 106.30
_cell_angle_gamma 90.00
loop_
_space_group_symop_operation_xyz
'x,y,z'
loop_
_atom_site_label
_atom_site_type_symbol
_atom_site_fract_x
_atom_site_fract_y
_atom_site_fract_z
_atom_site_occupancy
Cd1 Cd 0.0537 0.2500 0.1202 1
Cd2 Cd 0.9463 0.7500 0.8798 1
Sn1 Sn 0.3120 0.0481 0.7239 1
Sn2 Sn 0.3120 0.4519 0.7239 1
Sn3 Sn 0.6880 0.5481 0.2761 1
Sn4 Sn 0.6880 0.9519 0.2761 1
Au1 Au 0.2872 0.7500 0.4669 1
Au2 Au 0.7128 0.2500 0.5331 1
```


Record 10
Computed XRD peak list
Compound: Cd6SnAu10
Radiation: Cu Kα X-rays
Structure: a DFT-relaxed cell (GGA-PBE, Alexandria)

Peak list (8 most intense, 2θ = 10–90°, low angle first)
- 2θ 33.2, intensity 15
- 2θ 36.8, intensity 54
- 2θ 37.8, intensity 74
- 2θ 38.2, intensity 100
- 2θ 54.8, intensity 24
- 2θ 58.5, intensity 14
- 2θ 68.4, intensity 14
- 2θ 69.3, intensity 13

Cell and atoms:
```
data_Cd6SnAu10
_chemical_formula_sum 'Cd6 Sn1 Au10'
_space_group_name_H-M_alt 'P 1'
_space_group_IT_number 1
_cell_length_a 8.2546
_cell_length_b 8.2546
_cell_length_c 5.7462
_cell_angle_alpha 90.00
_cell_angle_beta 90.00
_cell_angle_gamma 120.00
loop_
_space_group_symop_operation_xyz
'x,y,z'
loop_
_atom_site_label
_atom_site_type_symbol
_atom_site_fract_x
_atom_site_fract_y
_atom_site_fract_z
_atom_site_occupancy
Cd1 Cd 0.0000 0.3808 0.2889 1
Cd2 Cd 0.0000 0.6192 0.7111 1
Cd3 Cd 0.3808 0.0000 0.2889 1
Cd4 Cd 0.3808 0.3808 0.7111 1
Cd5 Cd 0.6192 0.0000 0.7111 1
Cd6 Cd 0.6192 0.6192 0.2889 1
Sn1 Sn 0.0000 0.0000 0.5000 1
Au1 Au 0.0000 0.2711 0.8166 1
Au2 Au 0.0000 0.7289 0.1834 1
Au3 Au 0.2711 0.0000 0.8166 1
Au4 Au 0.2711 0.2711 0.1834 1
Au5 Au 0.3333 0.6667 0.0000 1
Au6 Au 0.3333 0.6667 0.5000 1
Au7 Au 0.6667 0.3333 0.0000 1
Au8 Au 0.6667 0.3333 0.5000 1
Au9 Au 0.7289 0.0000 0.1834 1
Au10 Au 0.7289 0.7289 0.8166 1
```


What is the formula in the sixth record? SmZnCdAu2